Entry 1:
Structure and theoretical PXRD pattern of LiCuAu (a crystal structure in Alexandria, relaxed with GGA-PBE; Cu Kα X-rays).
Peak positions follow from Bragg's law for the DFT cell and can differ from measured ones.

Cell and atoms:
```
LiCuAu
1.0
-1.3821 1.9431 4.0546
1.3821 -1.9431 4.0546
1.3821 1.9431 -4.0546
Li Cu Au
1 1 1
direct
0.0000 0.0000 0.0000
0.3332 0.3332 0.0000
0.6679 0.6679 0.0000
```

Main lines, low angle first (5 to 70 degrees two-theta):
2θ/deg  intensity
21.92  72
25.41  100
34.27  47
40.03  80
40.66  77
46.10  43
46.75  26
47.02  50
59.23  20
68.47  32


Entry 2:
Structure and theoretical PXRD pattern of Zr4ReCl (a crystal structure in Alexandria, relaxed with GGA-PBE; Cu Kα X-rays).
Peak positions follow from Bragg's law for the DFT cell and can differ from measured ones.

Cell and atoms:
```
Zr4ReCl
1.0
0.0000 4.0099 4.0099
4.0099 0.0000 4.0099
4.0099 4.0099 0.0000
Zr Re Cl
4 1 1
direct
0.3778 0.3778 0.3778
0.3778 0.3778 0.8665
0.3778 0.8665 0.3778
0.8665 0.3778 0.3778
0.7500 0.7500 0.7500
0.0000 0.0000 0.0000
```

Main lines, low angle first (5 to 70 degrees two-theta):
2θ/deg  intensity
19.17  19
22.17  13
31.55  30
37.18  100
38.90  37
50.92  9
56.19  11
59.93  32
65.88  25
69.32  4


Entry 3:
Structure and theoretical PXRD pattern of Sr2AlCO3F5 (a crystal structure in Alexandria, relaxed with GGA-PBE; Cu Kα X-rays).
Peak positions follow from Bragg's law for the DFT cell and can differ from measured ones.

Cell and atoms:
```
Sr2AlCO3F5
1.0
5.5110 0.0000 0.0000
0.0000 8.8603 0.0000
-3.6124 0.0000 13.1818
Sr Al C O F
8 4 4 12 20
direct
0.1903 0.1088 0.4012
0.1903 0.3912 0.9012
0.1947 0.6412 0.4119
0.1947 0.8588 0.9119
0.8053 0.1412 0.0881
0.8053 0.3588 0.5881
0.8097 0.6088 0.0988
0.8097 0.8912 0.5988
0.3039 0.6273 0.6701
0.3039 0.8727 0.1701
0.6961 0.1273 0.8299
0.6961 0.3727 0.3299
0.3264 0.1241 0.6374
0.3264 0.3759 0.1374
0.6736 0.6241 0.8626
0.6736 0.8759 0.3626
0.0902 0.1209 0.5863
0.0902 0.3791 0.0863
0.3821 0.1277 0.7354
0.3821 0.3723 0.2354
0.4975 0.1234 0.5878
0.4975 0.3766 0.0878
0.5025 0.6234 0.9122
0.5025 0.8766 0.4122
0.6179 0.6277 0.7646
0.6179 0.8723 0.2646
0.9098 0.6209 0.9137
0.9098 0.8791 0.4137
0.0087 0.1287 0.9303
0.0087 0.3713 0.4303
0.1699 0.7273 0.2341
0.1699 0.7727 0.7341
0.1725 0.0275 0.2261
0.1725 0.4725 0.7261
0.3978 0.7256 0.0925
0.3978 0.7744 0.5925
0.4150 0.0074 0.0897
0.4150 0.4926 0.5897
0.5850 0.5074 0.4103
0.5850 0.9926 0.9103
0.6022 0.2256 0.4075
0.6022 0.2744 0.9075
0.8275 0.5275 0.2739
0.8275 0.9725 0.7739
0.8301 0.2273 0.2659
0.8301 0.2727 0.7659
0.9913 0.6287 0.5697
0.9913 0.8713 0.0697
```

Main lines, low angle first (5 to 70 degrees two-theta):
2θ/deg  intensity
25.91  100
27.06  21
27.83  21
28.17  19
28.61  26
39.54  16
41.09  21
41.72  18
46.39  23
47.90  17


Entry 4:
Structure and theoretical PXRD pattern of Ti2MnS (a crystal structure in Alexandria, relaxed with GGA-PBE; Cu Kα X-rays).
Peak positions follow from Bragg's law for the DFT cell and can differ from measured ones.

Cell and atoms:
```
Ti2MnS
1.0
-3.4646 3.4646 2.6289
3.4646 -3.4646 2.6289
3.4646 3.4646 -2.6289
Ti Mn S
4 2 2
direct
0.0860 0.6250 0.9610
0.3750 0.3360 0.4610
0.6640 0.1250 0.0390
0.8750 0.9140 0.5390
0.2500 0.7500 0.5000
0.5000 0.5000 0.0000
0.0000 0.0000 0.0000
0.7500 0.2500 0.5000
```

Main lines, low angle first (5 to 70 degrees two-theta):
2θ/deg  intensity
33.57  22
36.68  100
38.88  92
42.76  10
50.57  3
52.85  28
53.97  2
54.52  55
57.58  5
67.52  12


Entry 5:
Structure and theoretical PXRD pattern of Sm2Y2Pb2C (a crystal structure in Alexandria, relaxed with GGA-PBE; Cu Kα X-rays).
Peak positions follow from Bragg's law for the DFT cell and can differ from measured ones.

Cell and atoms:
```
Sm2Y2Pb2C
1.0
-2.4267 2.4267 8.2289
2.4267 -2.4267 8.2289
2.4267 2.4267 -8.2289
Sm Y Pb C
2 2 2 1
direct
0.1587 0.1587 0.0000
0.8413 0.8413 0.0000
0.0000 0.5000 0.5000
0.5000 0.0000 0.5000
0.3600 0.3600 0.0000
0.6400 0.6400 0.0000
0.0000 0.0000 0.0000
```

Main lines, low angle first (5 to 70 degrees two-theta):
2θ/deg  intensity
21.60  20
25.96  51
28.17  40
32.65  24
34.02  100
37.04  57
50.19  29
53.39  20
62.60  18
64.84  31


Entry 6:
Structure and theoretical PXRD pattern of KLi2PaSe4 (a crystal structure in Alexandria, relaxed with GGA-PBE; Cu Kα X-rays).
Peak positions follow from Bragg's law for the DFT cell and can differ from measured ones.

Cell and atoms:
```
KLi2PaSe4
1.0
-3.6357 3.6357 4.2427
3.6357 -3.6357 4.2427
3.6357 3.6357 -4.2427
K Li Pa Se
1 2 1 4
direct
0.0000 0.0000 0.0000
0.2500 0.7500 0.5000
0.7500 0.2500 0.5000
0.5000 0.5000 0.0000
0.1073 0.1073 0.5701
0.4628 0.8927 0.0000
0.5372 0.5372 0.4299
0.8927 0.4628 0.0000
```

Main lines, low angle first (5 to 70 degrees two-theta):
2θ/deg  intensity
16.05  100
17.25  70
27.25  84
29.41  41
32.43  78
34.90  49
42.35  25
44.83  43
46.28  48
61.03  19


Entry 7:
Structure and theoretical PXRD pattern of BaAgH3F6 (a crystal structure in Alexandria, relaxed with GGA-PBE; Cu Kα X-rays).
Peak positions follow from Bragg's law for the DFT cell and can differ from measured ones.

Cell and atoms:
```
BaAgH3F6
1.0
3.6606 2.1134 2.8231
-3.6606 2.1134 2.8231
0.0000 -4.2269 2.8231
Ba Ag H F
1 1 3 6
direct
0.0000 0.0000 0.0000
0.5000 0.5000 0.5000
0.0000 0.5000 0.5000
0.5000 0.0000 0.5000
0.5000 0.5000 0.0000
0.0322 0.2782 0.5062
0.2782 0.5062 0.0322
0.4938 0.9678 0.7218
0.5062 0.0322 0.2782
0.7218 0.4938 0.9678
0.9678 0.7218 0.4938
```

Main lines, low angle first (5 to 70 degrees two-theta):
2θ/deg  intensity
24.32  100
25.29  80
35.37  72
42.79  35
43.39  78
45.15  34
56.68  20
58.14  18
67.73  22
68.17  18


Entry 8:
Structure and theoretical PXRD pattern of Ce2AlO5 (a crystal structure in Alexandria, relaxed with GGA-PBE; Cu Kα X-rays).
Peak positions follow from Bragg's law for the DFT cell and can differ from measured ones.

Cell and atoms:
```
Ce2AlO5
1.0
9.4402 0.0000 0.0000
0.0000 7.1760 0.0000
-1.1416 0.0000 6.8067
Ce Al O
8 4 20
direct
0.0225 0.1192 0.2443
0.0225 0.3808 0.7443
0.3579 0.1480 0.9982
0.3579 0.3520 0.4982
0.6421 0.6480 0.5018
0.6421 0.8520 0.0018
0.9775 0.6192 0.2557
0.9775 0.8808 0.7557
0.2981 0.5989 0.9916
0.2981 0.9011 0.4916
0.7019 0.0989 0.5084
0.7019 0.4011 0.0084
0.1036 0.1185 0.9228
0.1036 0.3815 0.4228
0.1061 0.6468 0.9662
0.1061 0.8532 0.4662
0.2786 0.0732 0.2953
0.2786 0.4268 0.7953
0.3516 0.0700 0.6775
0.3516 0.4300 0.1775
0.4024 0.6972 0.4959
0.4024 0.8028 0.9959
0.5976 0.1972 0.0041
0.5976 0.3028 0.5041
0.6484 0.5700 0.8225
0.6484 0.9300 0.3225
0.7214 0.5732 0.2047
0.7214 0.9268 0.7047
0.8939 0.1468 0.5338
0.8939 0.3532 0.0338
0.8964 0.6185 0.5772
0.8964 0.8815 0.0772
```

Main lines, low angle first (5 to 70 degrees two-theta):
2θ/deg  intensity
15.59  53
26.35  55
28.11  27
28.77  68
29.39  31
29.85  23
30.45  100
32.90  55
43.31  22
47.03  37


Entry 9:
Structure and theoretical PXRD pattern of Pm3Tl2In3Co (a crystal structure in Alexandria, relaxed with GGA-PBE; Cu Kα X-rays).
Peak positions follow from Bragg's law for the DFT cell and can differ from measured ones.

Cell and atoms:
```
Pm3Tl2In3Co
1.0
7.6330 0.0000 0.0000
-3.8165 6.6104 0.0000
0.0000 0.0000 4.5189
Pm Tl In Co
3 2 3 1
direct
0.0000 0.3826 0.0000
0.3826 0.0000 0.0000
0.6174 0.6174 0.0000
0.3333 0.6667 0.5000
0.6667 0.3333 0.5000
0.0000 0.7708 0.5000
0.2292 0.2292 0.5000
0.7708 0.0000 0.5000
0.0000 0.0000 0.0000
```

Main lines, low angle first (5 to 70 degrees two-theta):
2θ/deg  intensity
30.66  100
33.59  46
35.94  33
39.90  25
40.96  30
41.29  29
54.78  20
58.51  21
64.85  16
68.25  18


Entry 10:
Structure and theoretical PXRD pattern of NpGaGeIr (a crystal structure in Alexandria, relaxed with GGA-PBE; Cu Kα X-rays).
Peak positions follow from Bragg's law for the DFT cell and can differ from measured ones.

Cell and atoms:
```
NpGaGeIr
1.0
0.0000 3.2999 3.2999
3.2999 0.0000 3.2999
3.2999 3.2999 0.0000
Np Ga Ge Ir
1 1 1 1
direct
0.0000 0.0000 0.0000
0.7500 0.7500 0.7500
0.2500 0.2500 0.2500
0.5000 0.5000 0.5000
```

Main lines, low angle first (5 to 70 degrees two-theta):
2θ/deg  intensity
23.35  1
27.02  28
38.58  100
45.59  1
47.74  9
55.71  17
62.98  12
69.81  35


Entry 11:
Structure and theoretical PXRD pattern of HoZr6Sc12 (a crystal structure in Alexandria, relaxed with GGA-PBE; Cu Kα X-rays).
Peak positions follow from Bragg's law for the DFT cell and can differ from measured ones.

Cell and atoms:
```
HoZr6Sc12
1.0
6.5240 0.0000 0.0000
-1.7038 7.7553 0.0000
-0.0336 -3.4950 9.1983
Ho Zr Sc
1 6 12
direct
0.0000 0.0000 0.0000
0.0336 0.1289 0.6637
0.1848 0.6841 0.0482
0.4727 0.9130 0.8557
0.5273 0.0870 0.1443
0.8152 0.3159 0.9518
0.9664 0.8711 0.3363
0.1148 0.4570 0.2417
0.1772 0.7363 0.5669
0.3085 0.2482 0.4171
0.3467 0.3101 0.9556
0.3705 0.5085 0.7365
0.4641 0.8568 0.3444
0.5359 0.1432 0.6556
0.6295 0.4915 0.2635
0.6533 0.6899 0.0444
0.6915 0.7518 0.5829
0.8228 0.2637 0.4331
0.8852 0.5430 0.7583
```

Main lines, low angle first (5 to 70 degrees two-theta):
2θ/deg  intensity
9.62  64
12.21  32
32.95  41
33.31  37
34.92  70
35.05  54
35.30  100
36.26  35
36.55  49
36.63  58


Entry 12:
Structure and theoretical PXRD pattern of Ba3SbH3 (a crystal structure in Alexandria, relaxed with GGA-PBE; Cu Kα X-rays).
Peak positions follow from Bragg's law for the DFT cell and can differ from measured ones.

Cell and atoms:
```
Ba3SbH3
1.0
4.0571 2.3424 8.0256
-4.0571 2.3424 8.0256
0.0000 -4.6848 8.0256
Ba Sb H
6 2 6
direct
0.0416 0.4112 0.7697
0.2303 0.9584 0.5888
0.4112 0.7697 0.0416
0.5888 0.2303 0.9584
0.7697 0.0416 0.4112
0.9584 0.5888 0.2303
0.1657 0.1657 0.1657
0.8343 0.8343 0.8343
0.0676 0.6873 0.3644
0.3127 0.6356 0.9324
0.3644 0.0676 0.6873
0.6356 0.9324 0.3127
0.6873 0.3644 0.0676
0.9324 0.3127 0.6356
```

Main lines, low angle first (5 to 70 degrees two-theta):
2θ/deg  intensity
13.12  15
22.15  11
24.59  100
31.35  43
38.43  27
40.39  18
46.16  15
50.41  9
60.78  9
61.57  10